1.
For Pr3GeBr3, a PBE-relaxed structure gives the theoretical powder X-ray diffraction pattern in this record (Cu Kα).
Intensities are scaled so that the largest is 1000.

Main lines, in order of rising 2θ (2θ = 10–80°):
d [Å]	I/Imax
8.603	267
3.252	160
3.042	1000
2.594	86
2.151	730
1.756	252
1.656	67
1.521	114
1.360	305
1.242	221

Structure:
```
28
Lattice="-6.083 6.083 6.083 6.083 -6.083 6.083 6.083 6.083 -6.083" Properties=species:S:1:pos:R:3 pbc="T T T"
Pr 1.641 1.521 -1.401
Pr 7.484 1.641 -1.521
Pr 1.521 -1.401 1.641
Pr 4.683 4.442 -1.521
Pr 4.442 1.521 1.401
Pr -1.401 1.641 1.521
Pr 4.442 -1.521 4.683
Pr 1.521 1.401 4.442
Pr 1.401 4.442 1.521
Pr 1.641 -1.521 7.484
Pr -1.521 7.484 1.641
Pr -1.521 4.683 4.442
Ge 4.563 1.521 -1.521
Ge 1.521 1.521 1.521
Ge 1.521 -1.521 4.563
Ge -1.521 4.563 1.521
Br 7.604 1.473 1.569
Br 7.604 -1.473 4.515
Br 4.515 7.604 -1.473
Br 4.610 1.569 4.563
Br 4.563 4.610 1.569
Br 1.569 7.604 1.473
Br 7.556 4.515 4.563
Br 1.569 4.563 4.610
Br 1.473 1.569 7.604
Br 4.563 7.556 4.515
Br -1.473 4.515 7.604
Br 4.515 4.563 7.556
```

2.
For CeThAlSi, a PBE-relaxed structure gives the theoretical powder X-ray diffraction pattern in this record (Cu Kα).
Intensities are scaled so that the largest is 1000.

Main lines, in order of rising 2θ (2θ = 10–80°):
d [Å]	I/Imax
5.238	264
4.232	757
3.334	536
3.297	484
2.626	425
2.612	411
2.601	1000
2.344	687
2.054	252
2.046	342

Structure:
```
4
Lattice="5.374 0.000 0.000 0.000 3.297 0.000 -1.265 0.000 5.251" Properties=species:S:1:pos:R:3 pbc="T T T"
Ce 0.000 0.000 0.000
Th 1.660 0.000 2.921
Al 2.727 1.649 0.430
Si 4.348 1.649 2.517
```

3.
For PrSn2O6, a PBE-relaxed structure gives the theoretical powder X-ray diffraction pattern in this record (Cu Kα).
Intensities are scaled so that the largest is 1000.

Main lines, in order of rising 2θ (2θ = 10–80°):
d [Å]	I/Imax
4.795	280
4.557	340
4.058	221
2.986	203
2.856	1000
2.765	268
2.628	153
2.029	226
2.011	176
1.614	237

Structure:
```
18
Lattice="8.043 0.000 0.000 0.000 5.972 0.000 0.000 0.000 5.531" Properties=species:S:1:pos:R:3 pbc="T T T"
Pr 0.000 1.004 0.000
Pr 4.021 4.968 2.765
Sn 2.014 1.675 2.704
Sn 2.008 4.297 5.469
Sn 6.029 1.675 2.704
Sn 6.035 4.297 5.469
O 0.000 1.590 3.228
O 0.000 4.623 5.163
O 1.598 2.570 0.919
O 1.829 5.825 1.457
O 2.192 0.147 4.222
O 2.424 3.402 3.684
O 4.021 1.349 2.398
O 4.021 4.382 0.462
O 5.619 3.402 3.684
O 5.850 0.147 4.222
O 6.214 5.825 1.457
O 6.445 2.570 0.919
```

4.
For Na3Pu3BeS8, a PBE-relaxed structure gives the theoretical powder X-ray diffraction pattern in this record (Cu Kα).
Intensities are scaled so that the largest is 1000.

Main lines, in order of rising 2θ (2θ = 10–80°):
d [Å]	I/Imax
6.639	1000
5.586	162
3.379	248
3.327	398
3.203	203
2.829	293
2.793	531
2.174	169
2.008	284
1.969	192

Structure:
```
15
Lattice="6.850 -3.886 0.000 6.850 3.886 0.000 -4.528 0.000 6.639" Properties=species:S:1:pos:R:3 pbc="T T T"
Na 0.000 0.000 0.000
Na 3.425 1.943 0.000
Na 3.425 -1.943 0.000
Pu 1.161 1.943 3.320
Pu 1.161 -1.943 3.320
Pu 4.586 0.000 3.320
Be -2.264 0.000 3.320
S 3.577 2.229 4.579
S 5.594 2.229 2.060
S 2.301 0.000 1.778
S 0.294 0.000 4.891
S 8.877 0.000 1.748
S 6.871 0.000 4.861
S 3.577 -2.229 4.579
S 5.594 -2.229 2.060
```

5.
For Dy3YEr6, a PBE-relaxed structure gives the theoretical powder X-ray diffraction pattern in this record (Cu Kα).
Intensities are scaled so that the largest is 1000.

Main lines, in order of rising 2θ (2θ = 10–80°):
d [Å]	I/Imax
3.149	154
3.086	456
3.077	101
2.925	215
2.799	1000
2.681	113
2.620	154
2.578	271
2.202	112
1.813	105

Structure:
```
20
Lattice="5.461 -9.412 0.000 5.461 9.412 0.000 0.000 0.000 6.154" Properties=species:S:1:pos:R:3 pbc="T T T"
Dy 5.461 7.361 3.077
Dy 3.593 2.054 0.669
Dy 3.593 -2.054 3.746
Dy 7.328 2.054 0.669
Dy 7.328 -2.054 3.746
Dy 5.461 -7.361 0.000
Y 5.461 3.868 2.622
Y 5.461 -3.868 5.699
Er 2.697 3.967 4.365
Er 1.803 0.889 3.292
Er 1.803 -0.889 0.215
Er 5.461 5.314 5.705
Er 5.461 0.858 4.033
Er 2.697 -3.967 1.288
Er 8.225 3.967 4.365
Er 5.461 -0.858 0.956
Er 5.461 -5.314 2.628
Er 9.119 0.889 3.292
Er 9.119 -0.889 0.215
Er 8.225 -3.967 1.288
```

6.
For Er3Al8Ag3, a PBE-relaxed structure gives the theoretical powder X-ray diffraction pattern in this record (Cu Kα).
Intensities are scaled so that the largest is 1000.

Main lines, in order of rising 2θ (2θ = 10–80°):
d [Å]	I/Imax
4.857	193
3.996	314
3.183	142
3.153	251
2.582	1000
2.574	224
2.490	146
2.411	272
2.192	276
1.587	206

Structure:
```
14
Lattice="-2.192 4.857 6.365 2.192 -4.857 6.365 2.192 4.857 -6.365" Properties=species:S:1:pos:R:3 pbc="T T T"
Er 0.000 0.000 0.000
Er 0.000 0.000 3.787
Er 0.000 0.000 8.943
Al 2.192 -1.289 2.024
Al 2.192 -2.097 4.630
Al 2.192 1.289 2.024
Al 0.000 2.760 1.736
Al 2.192 2.097 4.630
Al 0.000 3.568 4.341
Al 0.000 6.954 1.736
Al 0.000 6.146 4.341
Ag 2.192 2.934 0.000
Ag 0.000 4.857 0.000
Ag 0.000 1.923 6.365
```